Theoretical X-ray powder pattern of CsHfI6 for copper Kα, from a cell relaxed with PBE.

Main lines, in order of rising 2θ (5° ≤ 2θ ≤ 70°):
13.27°, intensity 83, hkl 1 0 1
15.01°, intensity 41, hkl 0 1 2
20.57°, intensity 100, hkl 1 0 4
25.76°, intensity 91, hkl 0 2 1
26.72°, intensity 89, hkl 2 0 2
32.72°, intensity 85, hkl 2 0 5
33.03°, intensity 81, hkl 1 1 6
37.74°, intensity 45, hkl 2 1 4
44.83°, intensity 66, hkl 2 2 0
49.00°, intensity 42, hkl 0 2 10

Structure:
```
data_CsHfI6
_symmetry_space_group_name_H-M 'R -3 m'
_symmetry_Int_Tables_number 166
_symmetry_space_group_name_Hall '-R 3 2"'
_cell_length_a 8.0869
_cell_length_b 8.0869
_cell_length_c 21.9357
_cell_angle_alpha 90.00
_cell_angle_beta 90.00
_cell_angle_gamma 120.00
loop_
_atom_site_label
_atom_site_type_symbol
_atom_site_fract_x
_atom_site_fract_y
_atom_site_fract_z
Cs1 Cs 0.0000 0.0000 0.0000
Hf1 Hf 0.0000 0.0000 0.5000
I1 I 0.0024 0.5012 0.0918
```


Theoretical X-ray powder pattern of SrTlAu6 for copper Kα, from a cell relaxed with PBE.

Main lines, in order of rising 2θ (5° ≤ 2θ ≤ 70°):
15.84°, intensity 4, hkl 1 0 0
22.48°, intensity 3, hkl 1 1 0
27.62°, intensity 1, hkl 1 1 1
32.00°, intensity 25, hkl 2 0 0
35.90°, intensity 100, hkl 2 0 1
39.46°, intensity 56, hkl 2 1 1
57.04°, intensity 11, hkl 2 2 2
59.59°, intensity 23, hkl 3 2 0
62.09°, intensity 30, hkl 3 2 1
66.91°, intensity 14, hkl 4 0 0

Structure:
```
data_SrTlAu6
_symmetry_space_group_name_H-M 'P m -3'
_symmetry_Int_Tables_number 200
_symmetry_space_group_name_Hall '-P 2 2 3'
_cell_length_a 5.594
_cell_length_b 5.594
_cell_length_c 5.594
_cell_angle_alpha 90.00
_cell_angle_beta 90.00
_cell_angle_gamma 90.00
loop_
_atom_site_label
_atom_site_type_symbol
_atom_site_fract_x
_atom_site_fract_y
_atom_site_fract_z
Sr1 Sr 0.000 0.000 0.000
Tl1 Tl 0.500 0.500 0.500
Au1 Au 0.000 0.251 0.500
```


Theoretical X-ray powder pattern of ReMo2Os for copper Kα, from a cell relaxed with PBE.

Main lines, in order of rising 2θ (5° ≤ 2θ ≤ 70°):
18.69°, intensity 19, hkl 0 0 1
24.67°, intensity 10, hkl 2 0 -1
39.27°, intensity 50, hkl 4 0 0
39.62°, intensity 100, hkl 1 1 1
39.78°, intensity 50, hkl 2 0 -2
45.83°, intensity 32, hkl 2 0 2
46.11°, intensity 65, hkl 3 1 -1
66.69°, intensity 20, hkl 5 1 1
67.13°, intensity 10, hkl 6 0 -2
67.40°, intensity 31, hkl 0 2 0

Structure:
```
data_ReMo2Os
_symmetry_space_group_name_H-M 'C 1 m 1'
_symmetry_Int_Tables_number 8
_cell_length_a 9.304
_cell_length_b 2.779
_cell_length_c 4.813
_cell_angle_alpha 90.00
_cell_angle_beta 99.46
_cell_angle_gamma 90.00
loop_
_symmetry_equiv_pos_as_xyz
'x,y,z'
'x,-y,z'
'x+1/2,y+1/2,z'
'x+1/2,-y+1/2,z'
loop_
_atom_site_label
_atom_site_type_symbol
_atom_site_fract_x
_atom_site_fract_y
_atom_site_fract_z
Re1 Re 0.000 0.000 0.000
Mo1 Mo 0.017 0.500 0.516
Mo2 Mo 0.255 0.500 0.253
Os1 Os 0.262 0.000 0.764
```


Theoretical X-ray powder pattern of Na3Sr for copper Kα, from a cell relaxed with PBE.

Main lines, in order of rising 2θ (5° ≤ 2θ ≤ 70°):
14.46°, intensity 24, hkl 0 0 2
18.19°, intensity 18, hkl 1 1 0
19.59°, intensity 46, hkl 1 1 1
23.31°, intensity 20, hkl 1 1 2
25.62°, intensity 72, hkl 2 0 2
28.51°, intensity 100, hkl 1 1 3
28.90°, intensity 50, hkl 2 1 1
31.78°, intensity 40, hkl 3 0 0
39.15°, intensity 40, hkl 3 1 1
49.32°, intensity 23, hkl 3 2 2

Structure:
```
data_Na3Sr
_symmetry_space_group_name_H-M 'P 63 c m'
_symmetry_Int_Tables_number 185
_symmetry_space_group_name_Hall 'P 6c -2'
_cell_length_a 9.7542
_cell_length_b 9.7542
_cell_length_c 12.2497
_cell_angle_alpha 90.00
_cell_angle_beta 90.00
_cell_angle_gamma 120.00
loop_
_atom_site_label
_atom_site_type_symbol
_atom_site_fract_x
_atom_site_fract_y
_atom_site_fract_z
Na1 Na 0.0000 0.0000 0.1633
Na2 Na 0.0000 0.2751 0.3412
Na3 Na 0.0000 0.2849 0.0000
Na4 Na 0.3333 0.6667 0.4193
Sr1 Sr 0.0000 0.4030 0.6716
```


Theoretical X-ray powder pattern of BaCdSeO4 for copper Kα, from a cell relaxed with PBE.

Main lines, in order of rising 2θ (5° ≤ 2θ ≤ 70°):
16.72°, intensity 39, hkl 1 1 1
19.33°, intensity 12, hkl 2 0 0
27.47°, intensity 100, hkl 2 2 0
32.33°, intensity 16, hkl 3 1 1
39.24°, intensity 12, hkl 4 0 0
42.93°, intensity 12, hkl 3 3 1
48.57°, intensity 40, hkl 4 2 2
56.70°, intensity 17, hkl 4 4 0
59.56°, intensity 7, hkl 5 3 1
64.14°, intensity 17, hkl 6 2 0

Structure:
```
data_BaCdSeO4
_symmetry_space_group_name_H-M 'F -4 3 m'
_symmetry_Int_Tables_number 216
_symmetry_space_group_name_Hall 'F -4 2 3'
_cell_length_a 9.183
_cell_length_b 9.183
_cell_length_c 9.183
_cell_angle_alpha 90.00
_cell_angle_beta 90.00
_cell_angle_gamma 90.00
loop_
_atom_site_label
_atom_site_type_symbol
_atom_site_fract_x
_atom_site_fract_y
_atom_site_fract_z
Ba1 Ba 0.000 0.000 0.000
Cd1 Cd 0.250 0.250 0.750
Se1 Se 0.000 0.000 0.500
O1 O 0.115 0.115 0.615
```


Theoretical X-ray powder pattern of PaMn10Be2 for copper Kα, from a cell relaxed with PBE.

Main lines, in order of rising 2θ (5° ≤ 2θ ≤ 70°):
21.79°, intensity 22, hkl 2 0 0
22.86°, intensity 20, hkl 0 0 2
31.27°, intensity 44, hkl 2 2 1
36.29°, intensity 19, hkl 3 1 1
38.44°, intensity 24, hkl 0 4 0
39.73°, intensity 37, hkl 0 2 3
41.66°, intensity 48, hkl 3 1 2
44.42°, intensity 23, hkl 4 0 0
45.20°, intensity 35, hkl 0 4 2
45.77°, intensity 100, hkl 2 2 3

Structure:
```
data_PaMn10Be2
_symmetry_space_group_name_H-M 'C m c m'
_symmetry_Int_Tables_number 63
_symmetry_space_group_name_Hall '-C 2c 2'
_cell_length_a 8.157
_cell_length_b 9.367
_cell_length_c 7.779
_cell_angle_alpha 90.00
_cell_angle_beta 90.00
_cell_angle_gamma 90.00
loop_
_atom_site_label
_atom_site_type_symbol
_atom_site_fract_x
_atom_site_fract_y
_atom_site_fract_z
Pa1 Pa 0.000 0.125 0.250
Mn1 Mn 0.000 0.178 0.601
Mn2 Mn 0.000 0.392 0.063
Mn3 Mn 0.136 0.392 0.750
Mn4 Mn 0.214 0.000 0.000
Mn5 Mn 0.248 0.371 0.250
Be1 Be 0.250 0.250 0.000
```


Theoretical X-ray powder pattern of Ca3Zn3Ag8 for copper Kα, from a cell relaxed with PBE.

Main lines, in order of rising 2θ (5° ≤ 2θ ≤ 70°):
18.34°, intensity 86, hkl 0 2 0
21.35°, intensity 54, hkl 1 1 0
32.56°, intensity 39, hkl 0 2 4
33.54°, intensity 83, hkl 1 2 3
33.92°, intensity 87, hkl 1 3 0
36.56°, intensity 48, hkl 1 3 2
38.93°, intensity 89, hkl 1 0 5
39.08°, intensity 100, hkl 2 0 0
43.35°, intensity 65, hkl 1 2 5
43.66°, intensity 47, hkl 1 3 4

Structure:
```
data_Ca3Zn3Ag8
_symmetry_space_group_name_H-M 'I m m m'
_symmetry_Int_Tables_number 71
_symmetry_space_group_name_Hall '-I 2 2'
_cell_length_a 4.610
_cell_length_b 9.676
_cell_length_c 13.373
_cell_angle_alpha 90.00
_cell_angle_beta 90.00
_cell_angle_gamma 90.00
loop_
_atom_site_label
_atom_site_type_symbol
_atom_site_fract_x
_atom_site_fract_y
_atom_site_fract_z
Ca1 Ca 0.000 0.000 0.000
Ca2 Ca 0.000 0.000 0.305
Zn1 Zn 0.000 0.218 0.500
Zn2 Zn 0.000 0.500 0.000
Ag1 Ag 0.000 0.287 0.117
Ag2 Ag 0.000 0.356 0.324
```


Theoretical X-ray powder pattern of LaSiPd for copper Kα, from a cell relaxed with PBE.

Main lines, in order of rising 2θ (5° ≤ 2θ ≤ 70°):
28.39°, intensity 32, hkl 1 1 2
30.44°, intensity 78, hkl 3 1 -1
32.04°, intensity 100, hkl 0 2 1
32.65°, intensity 50, hkl 4 0 0
32.98°, intensity 37, hkl 1 2 -1
33.92°, intensity 84, hkl 3 0 2
35.98°, intensity 80, hkl 3 1 -2
37.05°, intensity 86, hkl 0 1 3
40.92°, intensity 86, hkl 3 2 1
48.15°, intensity 28, hkl 0 1 4

Structure:
```
data_LaSiPd
_symmetry_space_group_name_H-M 'P 1 21/c 1'
_symmetry_Int_Tables_number 14
_cell_length_a 10.978
_cell_length_b 5.966
_cell_length_c 7.975
_cell_angle_alpha 90.00
_cell_angle_beta 92.25
_cell_angle_gamma 90.00
loop_
_symmetry_equiv_pos_as_xyz
'x,y,z'
'-x,-y,-z'
'-x,y+1/2,-z+1/2'
'x,-y+1/2,z+1/2'
loop_
_atom_site_label
_atom_site_type_symbol
_atom_site_fract_x
_atom_site_fract_y
_atom_site_fract_z
La1 La 0.130 0.132 0.328
La2 La 0.359 0.637 0.468
Si1 Si 0.077 0.631 0.467
Si2 Si 0.358 0.143 0.628
Pd1 Pd 0.170 0.608 0.180
Pd2 Pd 0.447 0.100 0.340
```